This entry pairs a crystal structure of NbGaSn2O6 with its simulated XRD peak list. Radiation: Cu Kα. Structure: the GGA-PBE geometry in the Materials Project.
No peak broadening, texture or thermal motion is included.

Cell and atoms:
```
data_NbGaSn2O6
_space_group_name_H-M_alt 'F m -3 m'
_space_group_IT_number 225
_space_group_name_Hall '-F 4 2 3'
_cell_length_a 8.0079
_cell_length_b 8.0079
_cell_length_c 8.0079
_cell_angle_alpha 90.00
_cell_angle_beta 90.00
_cell_angle_gamma 90.00
loop_
_atom_site_label
_atom_site_type_symbol
_atom_site_fract_x
_atom_site_fract_y
_atom_site_fract_z
Nb1 Nb 0.0000 0.0000 0.0000
Ga1 Ga 0.0000 0.0000 0.5000
Sn1 Sn 0.2500 0.2500 0.2500
O1 O 0.0000 0.0000 0.2511
```

Main lines, most intense first (2θ from 15° to 90°):
31.60°, I = 100, hkl 2 2 0; 56.28°, I = 41, hkl 4 2 2; 45.30°, I = 33, hkl 4 0 0; 65.99°, I = 20, hkl 4 4 0; 75.02°, I = 18, hkl 6 2 0; 38.96°, I = 8, hkl 2 2 2; 83.67°, I = 7, hkl 4 4 4; 79.37°, I = 3, hkl 6 2 2; 51.00°, I = 1, hkl 4 2 0; 22.20°, I = 1, hkl 2 0 0; 19.20°, I = 1, hkl 1 1 1; 70.57°, I = 1, hkl 6 0 0

This entry pairs a crystal structure of BaSe2O5 with its simulated XRD peak list. Radiation: Cu Kα. Structure: the GGA-PBE geometry in the Materials Project.
No peak broadening, texture or thermal motion is included.

Cell and atoms:
```
data_BaSe2O5
_space_group_name_H-M_alt 'P 1 21/c 1'
_space_group_IT_number 14
_cell_length_a 4.6174
_cell_length_b 12.0555
_cell_length_c 9.9669
_cell_angle_alpha 90.00
_cell_angle_beta 92.56
_cell_angle_gamma 90.00
loop_
_space_group_symop_operation_xyz
'x,y,z'
'-x,-y,-z'
'-x,y+1/2,-z+1/2'
'x,-y+1/2,z+1/2'
loop_
_atom_site_label
_atom_site_type_symbol
_atom_site_fract_x
_atom_site_fract_y
_atom_site_fract_z
Ba1 Ba 0.2417 0.1684 0.4610
Se1 Se 0.1809 0.6039 0.7430
Se2 Se 0.2711 0.5832 0.3541
O1 O 0.1171 0.0365 0.1583
O2 O 0.1613 0.1555 0.7590
O3 O 0.2363 0.6909 0.4612
O4 O 0.2387 0.5587 0.9041
O5 O 0.2880 0.6423 0.2002
```

Main lines, most intense first (2θ from 15° to 90°):
26.22°, I = 100, hkl 1 2 1; 27.92°, I = 73, hkl 1 1 2; 30.75°, I = 59, hkl 0 2 3; 39.07°, I = 51, hkl 2 0 0; 26.79°, I = 50, hkl 1 1 -2; 29.48°, I = 48, hkl 1 3 0; 23.88°, I = 45, hkl 0 3 1; 25.74°, I = 42, hkl 1 0 -2; 29.64°, I = 33, hkl 0 4 0; 23.17°, I = 33, hkl 0 2 2; 25.61°, I = 29, hkl 1 2 -1; 49.66°, I = 22, hkl 1 1 -5

This entry pairs a crystal structure of NdAs with its simulated XRD peak list. Radiation: Cu Kα. Structure: the GGA-PBE geometry in the Materials Project.
No peak broadening, texture or thermal motion is included.

Cell and atoms:
```
data_NdAs
_space_group_name_H-M_alt 'F m -3 m'
_space_group_IT_number 225
_space_group_name_Hall '-F 4 2 3'
_cell_length_a 6.0466
_cell_length_b 6.0466
_cell_length_c 6.0466
_cell_angle_alpha 90.00
_cell_angle_beta 90.00
_cell_angle_gamma 90.00
loop_
_atom_site_label
_atom_site_type_symbol
_atom_site_fract_x
_atom_site_fract_y
_atom_site_fract_z
Nd1 Nd 0.0000 0.0000 0.0000
As1 As 0.0000 0.0000 0.5000
```

Main lines, most intense first (2θ from 15° to 90°):
29.55°, I = 100, hkl 2 0 0; 42.28°, I = 75, hkl 2 2 0; 69.53°, I = 34, hkl 4 2 0; 52.42°, I = 27, hkl 2 2 2; 77.31°, I = 25, hkl 4 2 2; 25.52°, I = 17, hkl 1 1 1; 61.33°, I = 12, hkl 4 0 0; 50.03°, I = 9, hkl 3 1 1; 67.52°, I = 4, hkl 3 3 1; 82.98°, I = 3, hkl 5 1 1

This entry pairs a crystal structure of KRb2CuF6 with its simulated XRD peak list. Radiation: Cu Kα. Structure: the GGA-PBE geometry in the Materials Project.
No peak broadening, texture or thermal motion is included.

Cell and atoms:
```
data_KRb2CuF6
_space_group_name_H-M_alt 'F m -3 m'
_space_group_IT_number 225
_space_group_name_Hall '-F 4 2 3'
_cell_length_a 8.9093
_cell_length_b 8.9093
_cell_length_c 8.9093
_cell_angle_alpha 90.00
_cell_angle_beta 90.00
_cell_angle_gamma 90.00
loop_
_atom_site_label
_atom_site_type_symbol
_atom_site_fract_x
_atom_site_fract_y
_atom_site_fract_z
K1 K 0.0000 0.0000 0.0000
Rb1 Rb 0.2500 0.2500 0.2500
Cu1 Cu 0.0000 0.0000 0.5000
F1 F 0.0000 0.0000 0.2834
```

Main lines, most intense first (2θ from 15° to 90°):
28.33°, I = 100, hkl 2 2 0; 40.50°, I = 44, hkl 4 0 0; 50.16°, I = 36, hkl 4 2 2; 58.61°, I = 25, hkl 4 4 0; 80.71°, I = 21, hkl 6 4 2; 66.36°, I = 20, hkl 6 2 0; 34.89°, I = 18, hkl 2 2 2; 17.24°, I = 10, hkl 1 1 1; 73.67°, I = 7, hkl 4 4 4; 70.06°, I = 4, hkl 6 2 2; 87.62°, I = 3, hkl 8 0 0; 53.44°, I = 3, hkl 5 1 1